Entry 1:
Diffraction record for Li3Mn3P4O16. The XRD peak list is theoretical, not measured: it uses the PBE+U geometry in the Materials Project and Cu Kα, 1.54184 Å.
Intensities are scaled so that the largest is 100.

a b c (Å): 7.6624 8.1293 10.0670
angles (deg): 89.96 86.91 88.92
Space group P1 (No. 1)
Inequivalent atoms, fractional coordinates:
Li: 0.0000 0.0000 0.0000
Li: 0.0091 0.0050 0.4994
Li: 0.1811 0.2712 0.4021
Li: 0.5105 0.7710 0.7511
Li: 0.6875 0.5032 0.6536
Li: 0.6964 0.4974 0.1540
Mn: 0.0692 0.6309 0.4531
Mn: 0.0916 0.6490 0.9543
Mn: 0.1914 0.2827 0.8919
Mn: 0.4991 0.7845 0.2598
Mn: 0.6031 0.1474 0.2001
Mn: 0.6226 0.1300 0.7004
P: 0.2876 0.4539 0.1908
P: 0.2888 0.4557 0.6784
P: 0.4087 0.9572 0.4758
P: 0.4135 0.9555 0.9622
P: 0.7852 0.3206 0.4369
P: 0.7893 0.3347 0.9352
P: 0.8991 0.8371 0.2180
P: 0.9043 0.8217 0.7169
O: 0.0475 0.7851 0.1133
O: 0.0525 0.7668 0.6102
O: 0.1365 0.5068 0.2904
O: 0.1431 0.4908 0.7988
O: 0.1945 0.4475 0.5475
O: 0.2120 0.4571 0.0472
O: 0.2541 0.0784 0.9672
O: 0.2555 0.0735 0.4787
O: 0.3417 0.2762 0.7301
O: 0.3518 0.2802 0.2245
O: 0.3555 0.7829 0.9283
O: 0.3575 0.7798 0.4254
O: 0.4373 0.5710 0.6762
O: 0.4399 0.5778 0.1869
O: 0.4864 0.9603 0.1060
O: 0.5036 0.9482 0.6060
O: 0.5506 0.9907 0.3540
O: 0.5611 0.0105 0.8630
O: 0.6413 0.2610 0.5430
O: 0.6478 0.2778 0.0409
O: 0.6950 0.3253 0.2993
O: 0.7148 0.3225 0.7949
O: 0.7442 0.7182 0.2140
O: 0.7531 0.7073 0.7250
O: 0.8271 0.4994 0.4746
O: 0.8410 0.0130 0.1791
O: 0.8414 0.5083 0.9740
O: 0.8563 0.0021 0.6790
O: 0.9431 0.2069 0.4279
O: 0.9550 0.2178 0.9363
O: 0.9762 0.8278 0.3580
O: 0.9964 0.8298 0.8536

Top 6 peaks for 2θ from 10° to 90°, by angle:
- 2θ = 15.76°, I = 100, (1 1 0)
- 2θ = 16.06°, I = 93, (1 -1 0)
- 2θ = 23.27°, I = 76, (1 1 2)
- 2θ = 23.47°, I = 72, (1 -1 2)
- 2θ = 25.55°, I = 76, (2 1 0)
- 2θ = 25.93°, I = 81, (2 -1 0)

---

Entry 2:
Diffraction record for Li4Mn7P6O24. The XRD peak list is theoretical, not measured: it uses the PBE+U geometry in the Materials Project and Cu Kα, 1.54184 Å.
Intensities are scaled so that the largest is 100.

a b c (Å): 6.6392 8.3063 9.7470
angles (deg): 102.62 106.48 101.14
Space group P1 (No. 1)
Inequivalent atoms, fractional coordinates:
Li: 0.0000 0.0000 0.0000
Li: 0.0473 0.9240 0.2765
Li: 0.1811 0.3999 0.4943
Li: 0.4265 0.0704 0.9463
Mn: 0.0112 0.3050 0.8882
Mn: 0.0794 0.9253 0.6932
Mn: 0.3930 0.0667 0.5218
Mn: 0.4569 0.6970 0.3270
Mn: 0.6505 0.7510 0.0651
Mn: 0.7481 0.5025 0.6228
Mn: 0.8034 0.2491 0.1574
P: 0.1300 0.7263 0.9832
P: 0.3318 0.2671 0.2374
P: 0.4975 0.3491 0.8364
P: 0.6359 0.9021 0.7724
P: 0.8302 0.0870 0.4393
P: 0.9685 0.6463 0.3818
O: 0.0108 0.5517 0.8587
O: 0.0412 0.0360 0.5132
O: 0.1091 0.2519 0.1104
O: 0.1827 0.7668 0.3837
O: 0.1859 0.8690 0.9084
O: 0.2754 0.1357 0.3205
O: 0.2816 0.2285 0.8342
O: 0.3383 0.7135 0.0993
O: 0.4240 0.4467 0.3569
O: 0.4279 0.9557 0.7020
O: 0.4843 0.2234 0.1517
O: 0.5030 0.3214 0.6707
O: 0.5038 0.5342 0.8943
O: 0.6257 0.7208 0.6890
O: 0.6269 0.9644 0.4487
O: 0.6631 0.9362 0.9430
O: 0.6947 0.2971 0.9318
O: 0.7672 0.6829 0.2778
O: 0.8098 0.0536 0.2709
O: 0.8502 0.0303 0.7773
O: 0.8575 0.2757 0.5216
O: 0.9525 0.6745 0.5427
O: 0.9808 0.4614 0.3329
O: 0.9833 0.7877 0.0705

Top 6 peaks for 2θ from 10° to 90°, by angle:
- 2θ = 19.51°, I = 18, (1 -1 1)
- 2θ = 27.46°, I = 100, (0 2 1)
- 2θ = 28.79°, I = 51, (0 1 -3)
- 2θ = 32.20°, I = 22, (2 1 -2)
- 2θ = 33.59°, I = 16, (1 2 -3)
- 2θ = 34.49°, I = 20, (0 3 -2)

---

Entry 3:
Diffraction record for LiMn2P2O8. The XRD peak list is theoretical, not measured: it uses the PBE+U geometry in the Materials Project and Cu Kα, 1.54184 Å.
Intensities are scaled so that the largest is 100.

a b c (Å): 8.0050 5.4021 8.6266
angles (deg): 90.00 103.78 90.00
Space group Pc (No. 7)
Inequivalent atoms, fractional coordinates:
Li: 0.0000 0.1746 0.0000
Mn: 0.4092 0.1750 0.3285
Mn: 0.8679 0.3366 0.6190
P: 0.1092 0.3238 0.3713
P: 0.6174 0.1600 0.0480
O: 0.0432 0.4074 0.8382
O: 0.1459 0.2087 0.2156
O: 0.2940 0.3030 0.4850
O: 0.4775 0.1700 0.8884
O: 0.5438 0.2656 0.1860
O: 0.6605 0.1177 0.5759
O: 0.7781 0.3141 0.0403
O: 0.9810 0.1759 0.4431

Top 6 peaks for 2θ from 10° to 90°, by angle:
- 2θ = 19.55°, I = 55, (0 1 1)
- 2θ = 20.01°, I = 56, (1 1 0)
- 2θ = 21.57°, I = 69, (1 0 -2)
- 2θ = 23.94°, I = 100, (1 1 1)
- 2θ = 26.47°, I = 44, (1 0 2)
- 2θ = 32.04°, I = 38, (2 1 -2)

---

Entry 4:
Diffraction record for LiMnP2O7. The XRD peak list is theoretical, not measured: it uses the PBE+U geometry in the Materials Project and Cu Kα, 1.54184 Å.
Intensities are scaled so that the largest is 100.

a b c (Å): 15.5220 4.9786 8.7724
angles (deg): 90.00 111.33 90.00
Space group Cc (No. 9)
Inequivalent atoms, fractional coordinates:
Li: 0.0000 0.1679 0.0000
Mn: 0.2024 0.0107 0.0487
P: 0.1029 0.3682 0.7362
P: 0.3001 0.3630 0.8504
O: 0.0267 0.4360 0.1684
O: 0.1036 0.2249 0.8958
O: 0.1073 0.1451 0.6133
O: 0.2010 0.4656 0.2897
O: 0.2935 0.1715 0.9841
O: 0.2955 0.2044 0.6954
O: 0.3774 0.4426 0.4053

Top 6 peaks for 2θ from 10° to 90°, by angle:
- 2θ = 12.24°, I = 100, (2 0 0)
- 2θ = 20.64°, I = 29, (1 1 -1)
- 2θ = 22.89°, I = 18, (1 1 1)
- 2θ = 25.73°, I = 21, (3 1 0)
- 2θ = 27.15°, I = 73, (1 1 -2)
- 2θ = 30.61°, I = 14, (1 1 2)

---

Entry 5:
Diffraction record for LiMnPO4. The XRD peak list is theoretical, not measured: it uses the PBE+U geometry in the Materials Project and Cu Kα, 1.54184 Å.
Intensities are scaled so that the largest is 100.

a b c (Å): 5.8845 11.0117 10.0069
angles (deg): 90.00 91.27 90.00
Space group P2_1/c (No. 14)
Inequivalent atoms, fractional coordinates:
Li: 0.1122 0.1562 0.3622
Li: 0.3838 0.6528 0.1051
Mn: 0.1507 0.6261 0.5112
Mn: 0.3780 0.0956 0.7638
P: 0.1290 0.6079 0.8426
P: 0.3727 0.1444 0.0953
O: 0.0791 0.0213 0.6708
O: 0.1073 0.6864 0.9726
O: 0.1440 0.6923 0.7164
O: 0.1622 0.0613 0.0714
O: 0.3288 0.2227 0.2189
O: 0.3508 0.5305 0.8570
O: 0.4090 0.5668 0.3757
O: 0.4157 0.2183 0.9664

Top 6 peaks for 2θ from 10° to 90°, by angle:
- 2θ = 11.95°, I = 100, (0 1 1)
- 2θ = 18.39°, I = 65, (0 2 1)
- 2θ = 30.18°, I = 31, (0 3 2)
- 2θ = 31.48°, I = 93, (2 1 0)
- 2θ = 31.61°, I = 63, (1 1 -3)
- 2θ = 35.23°, I = 48, (1 2 3)